1.
NdMg2AlAg2: computed powder X-ray diffraction pattern (Cu Kα X-rays), based on a cell relaxed with PBE.

Crystal structure
a b c (Å): 6.7320 6.7320 6.7320
angles (deg): 134.83 134.83 65.80
Fractional coordinates of all 6 atoms:
Nd: 0.0000 0.0000 0.0000
Mg: 0.2500 0.7500 0.5000
Mg: 0.7500 0.2500 0.5000
Al: 0.5000 0.5000 0.0000
Ag: 0.2830 0.2830 0.0000
Ag: 0.7170 0.7170 0.0000

Peak list (12 most intense, 2θ from 10° to 80°, low angle first)
two_theta	Rel. int.
24.3	100.0
29.3	64.5
31.7	30.2
34.7	67.2
40.3	32.4
46.0	36.9
47.7	37.6
49.9	23.3
56.3	19.1
60.0	15.2
60.3	18.2
71.2	18.0



2.
Hf3IrW: computed powder X-ray diffraction pattern (Cu Kα X-rays), based on a cell relaxed with PBE.

Crystal structure
a b c (Å): 4.9283 4.9283 4.9283
angles (deg): 90.00 90.00 90.00
Fractional coordinates of all 5 atoms:
Hf: 0.0000 0.0000 0.5000
Hf: 0.0000 0.5000 0.0000
Hf: 0.5000 0.0000 0.0000
Ir: 0.0000 0.0000 0.0000
W: 0.5000 0.5000 0.5000

Peak list (12 most intense, 2θ from 10° to 80°, low angle first)
two_theta	Rel. int.
18.0	24.0
25.6	23.3
31.4	66.2
36.5	100.0
40.9	12.2
45.1	10.4
52.5	71.3
56.0	6.2
62.5	28.3
65.6	24.4
71.6	5.4
77.5	11.5



3.
BaSr3Pd: computed powder X-ray diffraction pattern (Cu Kα X-rays), based on a cell relaxed with PBE.

Crystal structure
a b c (Å): 7.5964 8.7778 7.6355
angles (deg): 90.00 109.38 90.00
Fractional coordinates of all 10 atoms:
Ba: 0.0000 0.1258 0.0000
Ba: 0.0000 0.8742 0.5000
Sr: 0.0118 0.3823 0.5021
Sr: 0.0118 0.6177 0.0021
Sr: 0.4921 0.3819 0.0026
Sr: 0.4921 0.6181 0.5026
Sr: 0.4961 0.1306 0.4954
Sr: 0.4961 0.8694 0.9954
Pd: 0.2522 0.3699 0.2529
Pd: 0.2522 0.6301 0.7529

Peak list (12 most intense, 2θ from 10° to 80°, low angle first)
two_theta	Rel. int.
12.4	15.9
15.9	16.4
17.5	12.4
24.7	15.9
24.8	46.7
28.7	100.0
41.0	37.7
41.1	37.0
48.6	21.9
51.0	19.5
67.3	17.0
67.5	16.5



4.
Th6Ge5Au: computed powder X-ray diffraction pattern (Cu Kα X-rays), based on a cell relaxed with PBE.

Crystal structure
a b c (Å): 7.4553 7.4553 7.4620
angles (deg): 99.51 99.51 119.97
Fractional coordinates of all 12 atoms:
Th: 0.0728 0.4147 0.7462
Th: 0.2438 0.2438 0.2547
Th: 0.4147 0.0728 0.7462
Th: 0.5853 0.9272 0.2538
Th: 0.7562 0.7562 0.7453
Th: 0.9272 0.5853 0.2538
Ge: 0.0000 0.0000 0.5000
Ge: 0.1670 0.8330 0.0000
Ge: 0.3341 0.6659 0.5000
Ge: 0.6659 0.3341 0.5000
Ge: 0.8330 0.1670 0.0000
Au: 0.5000 0.5000 0.0000

Peak list (12 most intense, 2θ from 10° to 80°, low angle first)
two_theta	Rel. int.
25.3	15.7
25.3	14.8
29.3	100.0
41.8	12.9
42.0	63.9
49.7	10.1
51.9	13.8
52.1	13.7
60.8	8.6
69.0	23.6
76.5	8.9
76.7	13.1